[1]
Diffraction record for H8WS4N2. The PXRD pattern is simulated, not measured: it uses a DFT-relaxed cell (PBE, Alexandria) and Cu Kα (weighted mean of Kα1 and Kα2).
Peak positions follow from Bragg's law for the DFT cell and can differ from measured ones.

Cell and atoms:
```
data_H8WS4N2
_chemical_formula_sum 'H32 W4 S16 N8'
_cell_length_a 9.623
_cell_length_b 7.255
_cell_length_c 12.937
_cell_angle_alpha 90.00
_cell_angle_beta 90.00
_cell_angle_gamma 90.00
_symmetry_space_group_name_H-M 'P n m a'
_symmetry_Int_Tables_number 62
_symmetry_space_group_name_Hall '-P 2ac 2n'
loop_
_atom_site_label
_atom_site_fract_x
_atom_site_fract_y
_atom_site_fract_z
H1 0.014 0.250 0.152
H2 0.085 0.750 0.738
H3 0.134 0.250 0.676
H4 0.142 0.634 0.842
H5 0.163 0.134 0.563
H6 0.205 0.750 0.121
W1 0.249 0.250 0.932
S1 0.043 0.250 0.856
S2 0.135 0.503 0.384
S3 0.231 0.250 0.103
N1 0.087 0.750 0.818
N2 0.189 0.250 0.606
```

Main lines, sorted by position (2θ from 15° to 90°):
- 2θ 16.51, I = 38
- 2θ 16.77, I = 100
- 2θ 18.44, I = 25
- 2θ 23.04, I = 16
- 2θ 24.01, I = 21
- 2θ 24.54, I = 15
- 2θ 30.44, I = 14
- 2θ 31.26, I = 21

[2]
Diffraction record for Mg6Tl3Pd. The PXRD pattern is simulated, not measured: it uses a DFT-relaxed cell (PBE, Alexandria) and Cu Kα (weighted mean of Kα1 and Kα2).
Peak positions follow from Bragg's law for the DFT cell and can differ from measured ones.

Cell and atoms:
```
data_Mg6Tl3Pd
_chemical_formula_sum 'Mg12 Tl6 Pd2'
_cell_length_a 8.754
_cell_length_b 11.300
_cell_length_c 4.715
_cell_angle_alpha 90.00
_cell_angle_beta 90.00
_cell_angle_gamma 90.00
_symmetry_space_group_name_H-M 'P n n m'
_symmetry_Int_Tables_number 58
_symmetry_space_group_name_Hall '-P 2 2n'
loop_
_atom_site_label
_atom_site_fract_x
_atom_site_fract_y
_atom_site_fract_z
Mg1 0.027 0.233 0.000
Mg2 0.151 0.062 0.500
Mg3 0.211 0.395 0.500
Tl1 0.000 0.500 0.000
Tl2 0.150 0.698 0.500
Pd1 0.000 0.000 0.000
```

Main lines, sorted by position (2θ from 15° to 90°):
- 2θ 21.78, I = 44
- 2θ 22.82, I = 58
- 2θ 26.65, I = 100
- 2θ 30.37, I = 46
- 2θ 32.09, I = 46
- 2θ 36.20, I = 85
- 2θ 38.18, I = 41
- 2θ 44.40, I = 39

[3]
Diffraction record for Ho3PaS4. The PXRD pattern is simulated, not measured: it uses a DFT-relaxed cell (PBE, Alexandria) and Cu Kα (weighted mean of Kα1 and Kα2).
Peak positions follow from Bragg's law for the DFT cell and can differ from measured ones.

Cell and atoms:
```
data_Ho3PaS4
_chemical_formula_sum 'Ho6 Pa2 S8'
_cell_length_a 7.833
_cell_length_b 10.982
_cell_length_c 3.855
_cell_angle_alpha 90.00
_cell_angle_beta 90.00
_cell_angle_gamma 90.00
_symmetry_space_group_name_H-M 'C m m m'
_symmetry_Int_Tables_number 65
_symmetry_space_group_name_Hall '-C 2 2'
loop_
_atom_site_label
_atom_site_fract_x
_atom_site_fract_y
_atom_site_fract_z
Ho1 0.000 0.000 0.000
Ho2 0.250 0.250 0.500
Pa1 0.000 0.500 0.000
S1 0.000 0.249 0.000
S2 0.246 0.000 0.500
```

Main lines, sorted by position (2θ from 15° to 90°):
- 2θ 27.98, I = 46
- 2θ 28.29, I = 44
- 2θ 32.60, I = 100
- 2θ 46.78, I = 48
- 2θ 55.20, I = 15
- 2θ 55.73, I = 14
- 2θ 57.84, I = 13
- 2θ 77.76, I = 22

[4]
Diffraction record for Zn5CuAu3. The PXRD pattern is simulated, not measured: it uses a DFT-relaxed cell (PBE, Alexandria) and Cu Kα (weighted mean of Kα1 and Kα2).
Peak positions follow from Bragg's law for the DFT cell and can differ from measured ones.

Cell and atoms:
```
data_Zn5CuAu3
_chemical_formula_sum 'Zn20 Cu4 Au12'
_cell_length_a 5.295
_cell_length_b 7.948
_cell_length_c 14.511
_cell_angle_alpha 90.00
_cell_angle_beta 90.00
_cell_angle_gamma 90.00
_symmetry_space_group_name_H-M 'I b a m'
_symmetry_Int_Tables_number 72
_symmetry_space_group_name_Hall '-I 2 2c'
loop_
_atom_site_label
_atom_site_fract_x
_atom_site_fract_y
_atom_site_fract_z
Zn1 0.000 0.000 0.000
Zn2 0.225 0.258 0.157
Cu1 0.000 0.500 0.250
Au1 0.000 0.000 0.250
Au2 0.051 0.330 0.500
```

Main lines, sorted by position (2θ from 15° to 90°):
- 2θ 23.62, I = 67
- 2θ 24.54, I = 80
- 2θ 25.56, I = 44
- 2θ 37.98, I = 62
- 2θ 42.26, I = 100
- 2θ 42.90, I = 58
- 2θ 43.82, I = 55
- 2θ 45.73, I = 82